Nb3Ag2Cl9: theoretical XRD peak list (Cu Kα X-rays), based on a DFT-relaxed cell (PBE, Alexandria).

Top 10 peaks for 2θ = 10–80°, by angle:
- 10.7 deg, d = 8.284 Å, I = 100.0, hkl 1 1 0
- 11.2 deg, d = 7.869 Å, I = 23.9, hkl 0 2 0
- 11.8 deg, d = 7.500 Å, I = 27.5, hkl 1 1 -1
- 15.2 deg, d = 5.848 Å, I = 26.8, hkl 0 2 1
- 16.7 deg, d = 5.310 Å, I = 44.6, hkl 2 0 -1
- 18.2 deg, d = 4.872 Å, I = 37.4, hkl 2 0 0
- 30.9 deg, d = 2.898 Å, I = 29.5, hkl 1 3 2
- 32.0 deg, d = 2.798 Å, I = 24.9, hkl 3 1 -3
- 33.8 deg, d = 2.655 Å, I = 29.6, hkl 4 0 -1
- 38.6 deg, d = 2.333 Å, I = 41.1, hkl 1 5 2

Crystal structure
Lattice parameters (Å, degrees): 10.7406 15.7373 9.6343 90.00 114.89 90.00
Space group C2/m (No. 12)
Unique sites:
Nb: 0.1212 0.0931 0.1464 (multiplicity 8)
Nb: 0.1264 0.0000 0.8864 (multiplicity 4)
Ag: 0.2188 0.3597 0.3994 (multiplicity 8)
Cl: 0.0000 0.2196 0.0000 (multiplicity 4)
Cl: 0.0070 0.1100 0.6924 (multiplicity 8)
Cl: 0.2042 0.5000 0.2636 (multiplicity 4)
Cl: 0.2083 0.3904 0.9619 (multiplicity 8)
Cl: 0.2099 0.5000 0.6565 (multiplicity 4)
Cl: 0.2170 0.2934 0.6525 (multiplicity 8)